# 1
Diffraction record for BOsF. The powder diffractogram is computed, not measured: it uses a structure optimized by DFT (GGA-PBE) and copper Kα.

Structure:
Unit cell a=7.6458 b=5.2402 c=4.4047 alpha=90.00 beta=90.00 gamma=90.00
Fractional positions:
1 B 0.1952 0.0278 0.2500
2 B 0.1952 0.4722 0.7500
3 B 0.8048 0.5278 0.2500
4 B 0.8048 0.9722 0.7500
5 Os 0.0598 0.1071 0.7500
6 Os 0.0598 0.3929 0.2500
7 Os 0.9402 0.6071 0.7500
8 Os 0.9402 0.8929 0.2500
9 F 0.3601 0.5537 0.7500
10 F 0.3601 0.9463 0.2500
11 F 0.6399 0.0537 0.7500
12 F 0.6399 0.4463 0.2500

Peak list (10 most intense, 2θ from 10° to 80°, low angle first)
2θ/deg  Rel. int.
11.57  100
23.27  12
28.92  9
35.50  14
40.04  14
40.98  8
41.82  18
42.73  9
44.57  9
46.82  9

# 2
Diffraction record for TlB2PbF8. The powder diffractogram is computed, not measured: it uses a structure optimized by DFT (GGA-PBE) and copper Kα.

Structure:
Unit cell a=10.3876 b=10.3876 c=10.3876 alpha=26.92 beta=26.92 gamma=26.92
Fractional positions:
1 Tl 0.0000 0.0000 0.0000
2 B 0.2555 0.2555 0.2555
3 B 0.7445 0.7445 0.7445
4 Pb 0.5000 0.5000 0.5000
5 F 0.0418 0.7482 0.4875
6 F 0.2518 0.5125 0.9582
7 F 0.3035 0.3035 0.3035
8 F 0.4875 0.0418 0.7482
9 F 0.5125 0.9582 0.2518
10 F 0.6965 0.6965 0.6965
11 F 0.7482 0.4875 0.0418
12 F 0.9582 0.2518 0.5125

Peak list (10 most intense, 2θ from 10° to 80°, low angle first)
2θ/deg  Rel. int.
17.73  26
22.03  62
24.34  100
32.03  39
36.84  27
37.18  27
41.48  49
43.64  16
44.94  15
52.64  16

# 3
Diffraction record for BPdF. The powder diffractogram is computed, not measured: it uses a structure optimized by DFT (GGA-PBE) and copper Kα.

Structure:
Unit cell a=2.8353 b=2.9453 c=10.5197 alpha=89.55 beta=89.17 gamma=63.57
Fractional positions:
1 B 0.0000 0.0000 0.0000
2 B 0.3432 0.3490 0.4825
3 Pd 0.3275 0.3582 0.1220
4 Pd 0.6829 0.7090 0.3608
5 F 0.0065 0.9871 0.8752
6 F 0.3377 0.3361 0.6075

Peak list (10 most intense, 2θ from 10° to 80°, low angle first)
2θ/deg  Rel. int.
25.40  35
34.10  82
35.09  49
36.54  62
37.51  48
38.18  100
39.21  39
39.61  48
40.34  35
42.88  40

# 4
Diffraction record for BPdF. The powder diffractogram is computed, not measured: it uses a structure optimized by DFT (GGA-PBE) and copper Kα.

Structure:
Unit cell a=3.6837 b=4.1067 c=6.1701 alpha=90.00 beta=90.00 gamma=90.00
Fractional positions:
1 B 0.2500 0.2500 0.1563
2 B 0.7500 0.7500 0.8437
3 Pd 0.2500 0.7500 0.0171
4 Pd 0.7500 0.2500 0.9829
5 F 0.2500 0.2500 0.3735
6 F 0.7500 0.7500 0.6265

Peak list (10 most intense, 2θ from 10° to 80°, low angle first)
2θ/deg  Rel. int.
14.36  100
28.94  20
32.66  18
35.84  58
44.07  18
44.19  28
46.62  10
55.88  11
68.40  9
69.98  8

# 5
Diffraction record for PmBF5. The powder diffractogram is computed, not measured: it uses a structure optimized by DFT (GGA-PBE) and copper Kα.

Structure:
Unit cell a=5.4645 b=5.4645 c=7.5410 alpha=109.89 beta=109.89 gamma=74.22
Fractional positions:
1 Pm 0.0709 0.9291 0.7500
2 Pm 0.9291 0.0709 0.2500
3 B 0.5000 0.5000 0.0000
4 B 0.5000 0.5000 0.5000
5 F 0.1495 0.7792 0.0260
6 F 0.2208 0.8505 0.4740
7 F 0.2495 0.3350 0.3901
8 F 0.3350 0.2495 0.8901
9 F 0.4342 0.5658 0.7500
10 F 0.5658 0.4342 0.2500
11 F 0.6650 0.7505 0.1099
12 F 0.7505 0.6650 0.6099
13 F 0.7792 0.1495 0.5260
14 F 0.8505 0.2208 0.9740

Peak list (10 most intense, 2θ from 10° to 80°, low angle first)
2θ/deg  Rel. int.
17.53  100
18.77  30
22.56  76
26.27  21
27.05  23
27.25  65
30.11  27
36.82  28
38.00  30
43.27  28

# 6
Diffraction record for Rb3BF6. The powder diffractogram is computed, not measured: it uses a structure optimized by DFT (GGA-PBE) and copper Kα.

Structure:
Unit cell a=7.7115 b=7.7115 c=7.0321 alpha=90.00 beta=90.00 gamma=74.05
Fractional positions:
1 Rb 0.0276 0.9724 0.5000
2 Rb 0.1432 0.4289 0.3753
3 Rb 0.4289 0.1432 0.8753
4 Rb 0.5711 0.8568 0.3753
5 Rb 0.8568 0.5711 0.8753
6 Rb 0.9724 0.0276 0.0000
7 B 0.3414 0.6586 0.8157
8 B 0.6586 0.3414 0.3157
9 F 0.0892 0.2457 0.7301
10 F 0.1959 0.6173 0.7162
11 F 0.2457 0.0892 0.2301
12 F 0.2865 0.7135 0.0014
13 F 0.3827 0.8041 0.7162
14 F 0.4931 0.5069 0.8180
15 F 0.5069 0.4931 0.3180
16 F 0.6173 0.1959 0.2162
17 F 0.7135 0.2865 0.5014
18 F 0.7543 0.9108 0.7301
19 F 0.8041 0.3827 0.2162
20 F 0.9108 0.7543 0.2301

Peak list (10 most intense, 2θ from 10° to 80°, low angle first)
2θ/deg  Rel. int.
22.95  23
25.33  25
26.92  33
27.19  100
28.09  26
29.01  24
29.25  33
34.97  34
41.57  28
54.27  27

# 7
Diffraction record for Rb2BF5. The powder diffractogram is computed, not measured: it uses a structure optimized by DFT (GGA-PBE) and copper Kα.

Structure:
Unit cell a=7.9490 b=7.9718 c=5.9351 alpha=90.00 beta=125.97 gamma=90.00
Fractional positions:
1 Rb 0.0000 0.2436 0.0000
2 Rb 0.0000 0.7564 0.0000
3 Rb 0.5000 0.2564 0.0000
4 Rb 0.5000 0.7436 0.0000
5 B 0.0413 0.5000 0.5539
6 B 0.5413 0.0000 0.5539
7 F 0.1678 0.5000 0.4595
8 F 0.1805 0.5000 0.8579
9 F 0.2205 0.0000 0.9035
10 F 0.4204 0.1466 0.4718
11 F 0.4204 0.8534 0.4718
12 F 0.6678 0.0000 0.4595
13 F 0.6805 0.0000 0.8579
14 F 0.7205 0.5000 0.9035
15 F 0.9204 0.3534 0.4718
16 F 0.9204 0.6466 0.4718

Peak list (10 most intense, 2θ from 10° to 80°, low angle first)
2θ/deg  Rel. int.
18.47  86
22.30  38
22.49  36
27.73  46
29.11  83
30.71  43
31.88  100
35.87  86
37.45  46
38.28  69

# 8
Diffraction record for RbBF. The powder diffractogram is computed, not measured: it uses a structure optimized by DFT (GGA-PBE) and copper Kα.

Structure:
Unit cell a=3.5239 b=4.3781 c=15.9743 alpha=95.22 beta=95.68 gamma=90.02
Fractional positions:
1 Rb 0.1228 0.1563 0.2284
2 Rb 0.2919 0.2819 0.5903
3 Rb 0.7081 0.7181 0.4097
4 Rb 0.8772 0.8437 0.7716
5 B 0.2580 0.9999 0.0000
6 B 0.4997 0.3210 0.9994
7 B 0.5003 0.6790 0.0006
8 B 0.7420 0.0001 0.0000
9 F 0.2072 0.2173 0.4077
10 F 0.3755 0.3435 0.7684
11 F 0.6245 0.6565 0.2316
12 F 0.7928 0.7827 0.5923

Peak list (10 most intense, 2θ from 10° to 80°, low angle first)
2θ/deg  Rel. int.
24.19  29
25.28  34
28.19  57
28.86  27
29.13  34
32.64  100
32.96  24
33.98  26
41.29  22
51.91  29

# 9
Diffraction record for Rb2SiBF6. The powder diffractogram is computed, not measured: it uses a structure optimized by DFT (GGA-PBE) and copper Kα.

Structure:
Unit cell a=6.5101 b=6.5101 c=6.5101 alpha=125.17 beta=125.17 gamma=81.26
Fractional positions:
1 Rb 0.2500 0.7500 0.5000
2 Rb 0.7500 0.2500 0.5000
3 Si 0.0000 0.0000 0.0000
4 B 0.5000 0.5000 0.0000
5 F 0.1738 0.1738 0.0000
6 F 0.2031 0.2031 0.4063
7 F 0.2031 0.7969 0.0000
8 F 0.7969 0.2031 0.0000
9 F 0.7969 0.7969 0.5937
10 F 0.8262 0.8262 0.0000

Peak list (10 most intense, 2θ from 10° to 80°, low angle first)
2θ/deg  Rel. int.
17.30  35
20.96  19
27.73  100
29.81  37
35.01  72
36.37  24
42.66  36
51.64  27
57.27  20
60.29  17

# 10
Diffraction record for RbTlB2F8. The powder diffractogram is computed, not measured: it uses a structure optimized by DFT (GGA-PBE) and copper Kα.

Structure:
Unit cell a=5.1643 b=5.1643 c=8.7184 alpha=90.00 beta=90.00 gamma=120.00
Fractional positions:
1 Rb 0.0000 0.0000 0.0000
2 Tl 0.0000 0.0000 0.5000
3 B 0.3333 0.6667 0.2505
4 B 0.6667 0.3333 0.7495
5 F 0.0352 0.5176 0.1991
6 F 0.3333 0.6667 0.4169
7 F 0.4824 0.5176 0.1991
8 F 0.4824 0.9648 0.1991
9 F 0.5176 0.0352 0.8009
10 F 0.5176 0.4824 0.8009
11 F 0.6667 0.3333 0.5831
12 F 0.9648 0.4824 0.8009

Peak list (10 most intense, 2θ from 10° to 80°, low angle first)
2θ/deg  Rel. int.
10.15  19
19.85  53
22.34  25
28.60  100
34.74  28
36.28  13
40.33  27
40.61  39
46.34  21
58.57  26

# 11
Diffraction record for Sn2BF7. The powder diffractogram is computed, not measured: it uses a structure optimized by DFT (GGA-PBE) and copper Kα.

Structure:
Unit cell a=8.7686 b=5.4560 c=14.4684 alpha=90.00 beta=90.00 gamma=90.00
Fractional positions:
1 Sn 0.0135 0.2500 0.1858
2 Sn 0.2172 0.7500 0.4481
3 Sn 0.2828 0.2500 0.9481
4 Sn 0.4865 0.7500 0.6858
5 Sn 0.5135 0.2500 0.3142
6 Sn 0.7172 0.7500 0.0519
7 Sn 0.7828 0.2500 0.5519
8 Sn 0.9865 0.7500 0.8142
9 B 0.1826 0.2500 0.6278
10 B 0.3174 0.7500 0.1278
11 B 0.6826 0.2500 0.8722
12 B 0.8174 0.7500 0.3722
13 F 0.0960 0.2500 0.0434
14 F 0.1002 0.0365 0.6529
15 F 0.1002 0.4635 0.6529
16 F 0.1593 0.5008 0.8613
17 F 0.1593 0.9992 0.8613
18 F 0.1722 0.7500 0.1708
19 F 0.2009 0.2500 0.5295
20 F 0.2991 0.7500 0.0295
21 F 0.3278 0.2500 0.6708
22 F 0.3407 0.0008 0.3613
23 F 0.3407 0.4992 0.3613
24 F 0.3998 0.5365 0.1529
25 F 0.3998 0.9635 0.1529
26 F 0.4040 0.7500 0.5434
27 F 0.5960 0.2500 0.4566
28 F 0.6002 0.0365 0.8471
29 F 0.6002 0.4635 0.8471
30 F 0.6593 0.5008 0.6387
31 F 0.6593 0.9992 0.6387
32 F 0.6722 0.7500 0.3292
33 F 0.7009 0.2500 0.9705
34 F 0.7991 0.7500 0.4705
35 F 0.8278 0.2500 0.8292
36 F 0.8407 0.0008 0.1387
37 F 0.8407 0.4992 0.1387
38 F 0.8998 0.5365 0.3471
39 F 0.8998 0.9635 0.3471
40 F 0.9040 0.7500 0.9566

Peak list (10 most intense, 2θ from 10° to 80°, low angle first)
2θ/deg  Rel. int.
20.13  60
21.02  44
22.79  76
23.73  78
24.64  51
26.67  52
26.80  100
40.90  43
43.11  49
51.69  45